Diffraction record for Fe3Br8O16. The powder X-ray diffraction pattern is simulated, not measured: it uses a structure optimized by DFT (PBE+U) and Cu Ka.
Kinematic intensities with the Lorentz-polarization factor, no thermal factor.

Cell and atoms:
```
data_Fe3Br8O16
_symmetry_space_group_name_H-M 'P -1'
_symmetry_Int_Tables_number 2
_cell_length_a 7.151
_cell_length_b 7.659
_cell_length_c 9.738
_cell_angle_alpha 72.97
_cell_angle_beta 69.88
_cell_angle_gamma 71.95
loop_
_symmetry_equiv_pos_as_xyz
'x,y,z'
'-x,-y,-z'
loop_
_atom_site_label
_atom_site_type_symbol
_atom_site_fract_x
_atom_site_fract_y
_atom_site_fract_z
_atom_site_occupancy
Fe1 Fe 0.000 0.000 0.000 1
Fe2 Fe 0.000 0.500 0.500 1
Fe3 Fe 0.500 0.000 0.000 1
Br1 Br 0.044 0.195 0.294 1
Br2 Br 0.238 0.643 0.154 1
Br3 Br 0.392 0.393 0.669 1
Br4 Br 0.443 0.866 0.727 1
O1 O 0.148 0.277 0.403 1
O2 O 0.163 0.374 0.657 1
O3 O 0.175 0.886 0.827 1
O4 O 0.205 0.649 0.342 1
O5 O 0.206 0.073 0.029 1
O6 O 0.396 0.624 0.602 1
O7 O 0.471 0.700 0.061 1
O8 O 0.487 0.965 0.225 1
```

Most intense lines, 2θ = 10–90°, low angle first:
2θ = 14.19°, rel. 383
2θ = 17.46°, rel. 727
2θ = 19.86°, rel. 377
2θ = 24.91°, rel. 786
2θ = 26.32°, rel. 509
2θ = 28.86°, rel. 1000
2θ = 29.98°, rel. 537
2θ = 30.75°, rel. 688
2θ = 32.48°, rel. 371
2θ = 32.72°, rel. 580